1.
This entry pairs a crystal structure of TbPuZn4 with its computed powder diffractogram. Radiation: Cu Ka. Structure: a GGA-PBE-relaxed structure.

Crystal structure
```
data_TbPuZn4
_chemical_formula_sum 'Tb2 Pu2 Zn8'
_space_group_name_H-M_alt 'I -4 m 2'
_space_group_IT_number 119
_space_group_name_Hall 'I -4 -2'
_cell_length_a 4.093
_cell_length_b 4.093
_cell_length_c 15.389
_cell_angle_alpha 90.00
_cell_angle_beta 90.00
_cell_angle_gamma 90.00
loop_
_atom_site_label
_atom_site_type_symbol
_atom_site_fract_x
_atom_site_fract_y
_atom_site_fract_z
Tb1 Tb 0.000 0.000 0.000
Pu1 Pu 0.000 0.500 0.750
Zn1 Zn 0.000 0.000 0.419
Zn2 Zn 0.000 0.500 0.168
```

Most intense lines, 15° ≤ 2θ ≤ 90°, sorted by position:
h k l, 2theta, intensity
0 0 4, 23.1, 140
1 0 3, 27.9, 399
1 1 2, 33.1, 1000
1 0 5, 36.5, 529
2 0 0, 44.3, 351
1 0 7, 46.9, 277
2 1 3, 53.1, 139
2 1 5, 58.7, 266
2 1 7, 66.5, 192
3 1 2, 74.3, 192



2.
This entry pairs a crystal structure of TmCd7Au4 with its computed powder diffractogram. Radiation: Cu Ka. Structure: a GGA-PBE-relaxed structure.

Crystal structure
```
data_TmCd7Au4
_chemical_formula_sum 'Tm2 Cd14 Au8'
_space_group_name_H-M_alt 'C 1 2/m 1'
_space_group_IT_number 12
_cell_length_a 12.221
_cell_length_b 5.426
_cell_length_c 10.097
_cell_angle_alpha 90.00
_cell_angle_beta 124.99
_cell_angle_gamma 90.00
loop_
_space_group_symop_operation_xyz
'x,y,z'
'-x,-y,-z'
'-x,y,-z'
'x,-y,z'
'x+1/2,y+1/2,z'
'-x+1/2,-y+1/2,-z'
'-x+1/2,y+1/2,-z'
'x+1/2,-y+1/2,z'
loop_
_atom_site_label
_atom_site_type_symbol
_atom_site_fract_x
_atom_site_fract_y
_atom_site_fract_z
Tm1 Tm 0.000 0.000 0.000
Cd1 Cd 0.000 0.500 0.000
Cd2 Cd 0.064 0.000 0.363
Cd3 Cd 0.161 0.500 0.581
Cd4 Cd 0.211 0.000 0.889
Au1 Au 0.073 0.500 0.778
Au2 Au 0.208 0.500 0.327
```

Most intense lines, 15° ≤ 2θ ≤ 90°, sorted by position:
h k l, 2theta, intensity
4 0 -3, 31.6, 608
1 1 2, 32.3, 265
0 2 0, 33.0, 1000
2 0 -4, 36.3, 406
3 1 1, 38.2, 822
5 1 -3, 41.1, 404
1 1 -4, 42.6, 365
5 1 -1, 43.3, 259
4 2 -3, 46.4, 450
2 2 -4, 49.9, 320



3.
This entry pairs a crystal structure of KReBiO5 with its computed powder diffractogram. Radiation: Cu Ka. Structure: a GGA-PBE-relaxed structure.

Crystal structure
```
data_KReBiO5
_chemical_formula_sum 'K4 Re4 Bi4 O20'
_space_group_name_H-M_alt 'C 1 2/c 1'
_space_group_IT_number 15
_cell_length_a 7.510
_cell_length_b 10.511
_cell_length_c 8.278
_cell_angle_alpha 90.00
_cell_angle_beta 111.37
_cell_angle_gamma 90.00
loop_
_space_group_symop_operation_xyz
'x,y,z'
'-x,-y,-z'
'-x,y,-z+1/2'
'x,-y,z+1/2'
'x+1/2,y+1/2,z'
'-x+1/2,-y+1/2,-z'
'-x+1/2,y+1/2,-z+1/2'
'x+1/2,-y+1/2,z+1/2'
loop_
_atom_site_label
_atom_site_type_symbol
_atom_site_fract_x
_atom_site_fract_y
_atom_site_fract_z
K1 K 0.000 0.177 0.250
Re1 Re 0.000 0.176 0.750
Bi1 Bi 0.000 0.500 0.000
O1 O 0.000 0.423 0.250
O2 O 0.096 0.285 0.632
O3 O 0.155 0.072 0.913
```

Most intense lines, 15° ≤ 2θ ≤ 90°, sorted by position:
h k l, 2theta, intensity
1 1 0, 15.2, 299
1 1 -1, 16.1, 465
1 1 -2, 23.5, 928
2 0 0, 25.5, 802
1 3 0, 28.5, 1000
0 2 2, 28.7, 698
1 1 2, 31.5, 305
2 2 -2, 32.4, 344
2 2 2, 44.3, 419
3 3 0, 46.8, 303



4.
This entry pairs a crystal structure of Ag5Sb3 with its computed powder diffractogram. Radiation: Cu Ka. Structure: a GGA-PBE-relaxed structure.

Crystal structure
```
data_Ag5Sb3
_chemical_formula_sum 'Ag10 Sb6'
_space_group_name_H-M_alt 'P 1'
_space_group_IT_number 1
_cell_length_a 5.572
_cell_length_b 7.880
_cell_length_c 9.131
_cell_angle_alpha 83.60
_cell_angle_beta 72.41
_cell_angle_gamma 69.46
loop_
_space_group_symop_operation_xyz
'x,y,z'
loop_
_atom_site_label
_atom_site_type_symbol
_atom_site_fract_x
_atom_site_fract_y
_atom_site_fract_z
Ag1 Ag 0.000 0.000 0.000
Ag2 Ag 0.007 0.469 0.517
Ag3 Ag 0.171 0.005 0.653
Ag4 Ag 0.287 0.429 0.995
Ag5 Ag 0.454 0.428 0.662
Ag6 Ag 0.481 0.711 0.827
Ag7 Ag 0.507 0.865 0.117
Ag8 Ag 0.692 0.473 0.141
Ag9 Ag 0.798 0.863 0.538
Ag10 Ag 0.981 0.711 0.826
Sb1 Sb 0.026 0.713 0.229
Sb2 Sb 0.265 0.215 0.260
Sb3 Sb 0.427 0.715 0.428
Sb4 Sb 0.558 0.057 0.827
Sb5 Sb 0.696 0.216 0.399
Sb6 Sb 0.905 0.359 0.830
```

Most intense lines, 15° ≤ 2θ ≤ 90°, sorted by position:
h k l, 2theta, intensity
0 2 2, 31.7, 351
0 2 -2, 31.9, 372
2 1 1, 32.1, 1000
-1 1 2, 35.3, 332
1 2 -2, 35.5, 644
1 3 2, 37.8, 444
1 3 -1, 37.9, 381
1 0 -3, 40.1, 462
1 1 4, 40.2, 539
2 3 0, 42.0, 475